[1]
Simulated powder XRD pattern
Compound: TbAlAu
Radiation: a wavelength of 1.5418 Å
Structure: a cell relaxed with PBE

Structural model:
Unit cell a=7.249 b=4.466 c=7.830 alpha=90.00 beta=90.00 gamma=90.00
Fractional coordinates of all 12 atoms:
Tb 0.010 0.250 0.192
Tb 0.490 0.750 0.692
Tb 0.510 0.250 0.308
Tb 0.990 0.750 0.808
Al 0.166 0.250 0.575
Al 0.334 0.750 0.075
Al 0.666 0.250 0.925
Al 0.834 0.750 0.425
Au 0.213 0.750 0.400
Au 0.287 0.250 0.900
Au 0.713 0.750 0.100
Au 0.787 0.250 0.600

Peak list (8 most intense, 10° ≤ 2θ ≤ 90°, sorted by position)
(hkl), 2θ (°), I/Imax
1 0 2, 25.9, 37
1 1 1, 26.1, 56
1 1 2, 32.8, 41
2 0 2, 33.7, 25
2 1 1, 33.8, 100
3 0 1, 39.0, 17
0 1 3, 40.0, 40
0 2 0, 40.4, 34

[2]
Simulated powder XRD pattern
Compound: ThAl2Au2
Radiation: a wavelength of 1.5418 Å
Structure: a cell relaxed with PBE

Structural model:
Unit cell a=4.416 b=4.416 c=10.475 alpha=90.00 beta=90.00 gamma=90.00
Fractional coordinates of all 10 atoms:
Th 0.250 0.250 0.248
Th 0.750 0.750 0.752
Al 0.250 0.250 0.869
Al 0.250 0.750 0.500
Al 0.750 0.250 0.500
Al 0.750 0.750 0.131
Au 0.250 0.250 0.630
Au 0.250 0.750 0.000
Au 0.750 0.250 0.000
Au 0.750 0.750 0.370

Peak list (8 most intense, 10° ≤ 2θ ≤ 90°, sorted by position)
(hkl), 2θ (°), I/Imax
1 0 2, 26.4, 26
1 1 1, 29.9, 50
1 0 3, 32.7, 66
1 1 2, 33.4, 100
2 0 0, 40.9, 61
1 0 5, 48.1, 28
2 1 3, 53.3, 34
3 1 2, 69.7, 31